Calculated X-ray diffraction stick pattern of La6CePm2 for CuKα, from the PBE geometry in Alexandria.
Intensities are scaled so that the largest is 100.

```
data_La6CePm2
_space_group_name_H-M_alt 'P 1'
_space_group_IT_number 1
_cell_length_a 3.674
_cell_length_b 3.674
_cell_length_c 27.652
_cell_angle_alpha 90.00
_cell_angle_beta 90.00
_cell_angle_gamma 120.00
loop_
_space_group_symop_operation_xyz
'x,y,z'
loop_
_atom_site_label
_atom_site_fract_x
_atom_site_fract_y
_atom_site_fract_z
_atom_site_occupancy
La1 0.000 0.000 0.063 1
La2 0.000 0.000 0.281 1
La3 0.000 0.000 0.719 1
La4 0.000 0.000 0.937 1
La5 0.333 0.667 0.396 1
La6 0.333 0.667 0.604 1
Ce1 0.000 0.000 0.500 1
Pm1 0.333 0.667 0.170 1
Pm2 0.333 0.667 0.830 1
```

Largest 12 diffraction maxima, low angle first, 2θ from 10° to 90°:
d/Å, Position (°2θ), Rel. int.
3.182, 28.04, 46.3
3.072, 29.06, 50.3
3.008, 29.70, 13.6
2.890, 30.94, 64.2
2.758, 32.46, 100.0
2.210, 40.83, 31.0
1.837, 49.63, 37.3
1.678, 54.70, 30.6
1.577, 58.55, 41.6
1.529, 60.56, 17.7
1.178, 81.72, 12.2
1.175, 82.00, 13.8